Structure and simulated XRD peak list of SrPd2F11 (a PBE-relaxed structure; CuKα).
Neutral-atom scattering factors, no anomalous dispersion.

Structural model:
Cell lengths 9.0985, 9.1106, 10.7264 Å; angles 90.00, 90.00, 90.00 degrees
Space group Ibam (No. 72)
Symmetry-distinct sites (fractional):
Sr: 0.0000 0.0000 0.2500 (multiplicity 4)
Pd: 0.1578 0.3414 0.0000 (multiplicity 8)
F: 0.0000 0.5000 0.0000 (multiplicity 4)
F: 0.0534 0.2335 0.1274 (multiplicity 16)
F: 0.1976 0.3039 0.5000 (multiplicity 8)
F: 0.2337 0.0548 0.3726 (multiplicity 16)

Most intense lines, 10° ≤ 2θ ≤ 90°, low angle first:
2θ 16.53, d = 5.363 Å, I 33, (0 0 2); 2θ 21.57, d = 4.121 Å, I 64, (1 1 2); 2θ 23.37, d = 3.807 Å, I 100, (2 1 1); 2θ 25.67, d = 3.471 Å, I 46, (0 2 2); 2θ 31.06, d = 2.879 Å, I 25, (1 3 0); 2θ 33.37, d = 2.685 Å, I 23, (0 0 4); 2θ 43.18, d = 2.095 Å, I 14, (4 0 2); 2θ 43.94, d = 2.061 Å, I 28, (2 2 4); 2θ 45.53, d = 1.992 Å, I 32, (3 3 2); 2θ 46.27, d = 1.962 Å, I 24, (1 3 4)

---

Structure and simulated XRD peak list of SrZnPd2F8 (a PBE-relaxed structure; CuKα).
Neutral-atom scattering factors, no anomalous dispersion.

Structural model:
Cell lengths 6.3870, 6.3870, 6.6182 Å; angles 90.00, 90.00, 120.00 degrees
Space group P-3m1 (No. 164)
Symmetry-distinct sites (fractional):
Sr: 0.0000 0.0000 0.0000 (multiplicity 1)
Zn: 0.0000 0.0000 0.5000 (multiplicity 1)
Pd: 0.3333 0.6667 0.2539 (multiplicity 2)
F: 0.1400 0.2800 0.2971 (multiplicity 6)
F: 0.3333 0.6667 0.9460 (multiplicity 2)

Most intense lines, 10° ≤ 2θ ≤ 90°, low angle first:
2θ 20.93, d = 4.244 Å, I 100, (1 0 1); 2θ 27.94, d = 3.194 Å, I 92, (1 1 0); 2θ 31.50, d = 2.840 Å, I 44, (1 0 2); 2θ 42.60, d = 2.122 Å, I 34, (2 0 2); 2θ 44.20, d = 2.049 Å, I 18, (1 0 3); 2θ 45.50, d = 1.994 Å, I 32, (1 2 1); 2θ 49.43, d = 1.844 Å, I 17, (3 0 0); 2θ 51.72, d = 1.767 Å, I 33, (2 1 2); 2θ 57.74, d = 1.597 Å, I 18, (2 2 0); 2θ 63.30, d = 1.469 Å, I 16, (1 1 4)

---

Structure and simulated XRD peak list of Tb2PdF8 (a PBE-relaxed structure; CuKα).
Neutral-atom scattering factors, no anomalous dispersion.

Structural model:
Cell lengths 15.4343, 3.6172, 5.4015 Å; angles 90.00, 110.13, 90.00 degrees
Space group C2/m (No. 12)
Symmetry-distinct sites (fractional):
Tb: 0.1776 0.0000 0.1851 (multiplicity 4)
Pd: 0.0000 0.5000 0.5000 (multiplicity 2)
F: 0.0490 0.0000 0.3316 (multiplicity 4)
F: 0.0954 0.5000 0.9304 (multiplicity 4)
F: 0.1842 0.5000 0.4579 (multiplicity 4)
F: 0.2219 0.0000 0.8305 (multiplicity 4)

Most intense lines, 10° ≤ 2θ ≤ 90°, low angle first:
2θ 24.65, d = 3.612 Å, I 100, (2 0 1); 2θ 24.80, d = 3.590 Å, I 94, (4 0 -1); 2θ 29.73, d = 3.006 Å, I 100, (1 1 -1); 2θ 30.88, d = 2.895 Å, I 89, (3 1 0); 2θ 33.17, d = 2.701 Å, I 31, (2 0 -2); 2θ 45.86, d = 1.979 Å, I 47, (1 1 2); 2θ 46.04, d = 1.971 Å, I 55, (5 1 -2); 2θ 48.26, d = 1.886 Å, I 39, (5 1 1); 2θ 48.43, d = 1.880 Å, I 33, (7 1 -1); 2θ 50.45, d = 1.809 Å, I 31, (0 2 0)

---

Structure and simulated XRD peak list of TcPdF6 (a PBE-relaxed structure; CuKα).
Neutral-atom scattering factors, no anomalous dispersion.

Structural model:
Cell lengths 5.1701, 5.1701, 9.8126 Å; angles 90.00, 90.00, 120.00 degrees
Space group P-31c (No. 163)
Symmetry-distinct sites (fractional):
Tc: 0.0000 0.0000 0.0000 (multiplicity 2)
Pd: 0.3333 0.6667 0.2500 (multiplicity 2)
F: 0.0037 0.3128 0.1166 (multiplicity 12)

Most intense lines, 10° ≤ 2θ ≤ 90°, low angle first:
2θ 19.83, d = 4.477 Å, I 14, (1 0 0); 2θ 21.82, d = 4.073 Å, I 63, (1 0 1); 2θ 26.96, d = 3.307 Å, I 100, (1 0 2); 2θ 33.94, d = 2.641 Å, I 19, (1 0 3); 2θ 34.70, d = 2.585 Å, I 24, (1 1 0); 2θ 39.40, d = 2.287 Å, I 14, (1 1 2); 2θ 44.48, d = 2.037 Å, I 24, (2 0 2); 2θ 51.35, d = 1.779 Å, I 46, (2 -1 4); 2θ 57.62, d = 1.600 Å, I 23, (3 -1 2); 2θ 62.20, d = 1.492 Å, I 17, (3 0 0)

---

Structure and simulated XRD peak list of Te2Pd4F (a PBE-relaxed structure; CuKα).
Neutral-atom scattering factors, no anomalous dispersion.

Structural model:
Cell lengths 7.7472, 7.7472, 9.3753 Å; angles 90.00, 90.00, 90.00 degrees
Space group I4_122 (No. 98)
Symmetry-distinct sites (fractional):
Te: 0.0490 0.7500 0.1250 (multiplicity 8)
Pd: 0.0686 0.2327 0.8532 (multiplicity 16)
F: 0.0000 0.0000 0.5000 (multiplicity 4)

Most intense lines, 10° ≤ 2θ ≤ 90°, low angle first:
2θ 14.83, d = 5.972 Å, I 38, (1 0 1); 2θ 16.18, d = 5.478 Å, I 18, (1 1 0); 2θ 27.44, d = 3.250 Å, I 24, (2 1 1); 2θ 30.85, d = 2.898 Å, I 35, (1 0 3); 2θ 32.69, d = 2.739 Å, I 58, (2 2 0); 2θ 38.41, d = 2.344 Å, I 32, (0 0 4); 2θ 38.81, d = 2.321 Å, I 19, (2 1 3); 2θ 41.59, d = 2.171 Å, I 100, (3 1 2); 2θ 51.30, d = 1.781 Å, I 32, (2 2 4); 2θ 74.18, d = 1.278 Å, I 31, (5 3 2)

---

Structure and simulated XRD peak list of Tl3PdF6 (a PBE-relaxed structure; CuKα).
Neutral-atom scattering factors, no anomalous dispersion.

Structural model:
Cell lengths 10.6761, 10.6761, 12.9842 Å; angles 90.00, 90.00, 120.00 degrees
Space group R-3m (No. 166, hexagonal axes)
Symmetry-distinct sites (fractional):
Tl: 0.0776 0.5388 0.3762 (multiplicity 18)
Pd: 0.0000 0.0000 0.0000 (multiplicity 3)
Pd: 0.0000 0.0000 0.5000 (multiplicity 3)
F: 0.0881 0.1761 0.0898 (multiplicity 18)
F: 0.0926 0.1852 0.3993 (multiplicity 18)

Most intense lines, 10° ≤ 2θ ≤ 90°, low angle first:
2θ 20.39, d = 4.355 Å, I 65, (0 2 1); 2θ 20.52, d = 4.328 Å, I 39, (0 0 3); 2θ 26.41, d = 3.374 Å, I 62, (2 1 1); 2θ 29.01, d = 3.078 Å, I 100, (1 2 2); 2θ 33.74, d = 2.657 Å, I 24, (0 2 4); 2θ 35.76, d = 2.511 Å, I 74, (3 0 3); 2θ 37.83, d = 2.378 Å, I 20, (2 1 4); 2θ 49.82, d = 1.830 Å, I 24, (0 5 1); 2θ 51.36, d = 1.779 Å, I 41, (3 3 0); 2θ 51.61, d = 1.771 Å, I 29, (0 3 6)

---

Structure and simulated XRD peak list of Tl2PdF8 (a PBE-relaxed structure; CuKα).
Neutral-atom scattering factors, no anomalous dispersion.

Structural model:
Cell lengths 6.8595, 6.8595, 4.5244 Å; angles 90.00, 90.00, 120.00 degrees
Space group P-3 (No. 147)
Symmetry-distinct sites (fractional):
Tl: 0.3333 0.6667 0.2613 (multiplicity 2)
Pd: 0.0000 0.0000 0.5000 (multiplicity 1)
F: 0.1407 0.2835 0.2592 (multiplicity 6)
F: 0.3333 0.6667 0.7617 (multiplicity 2)

Most intense lines, 10° ≤ 2θ ≤ 90°, low angle first:
2θ 24.74, d = 3.599 Å, I 100, (1 0 1); 2θ 25.98, d = 3.430 Å, I 99, (1 1 0); 2θ 36.18, d = 2.483 Å, I 18, (0 2 1); 2θ 42.77, d = 2.114 Å, I 17, (1 0 2); 2θ 45.08, d = 2.011 Å, I 48, (2 1 1); 2θ 45.82, d = 1.980 Å, I 20, (3 0 0); 2θ 50.73, d = 1.800 Å, I 17, (0 2 2); 2θ 53.43, d = 1.715 Å, I 20, (2 2 0); 2θ 57.86, d = 1.594 Å, I 19, (2 1 2); 2θ 59.73, d = 1.548 Å, I 16, (1 3 1)

---

Structure and simulated XRD peak list of TlPd2F8 (a PBE-relaxed structure; CuKα).
Neutral-atom scattering factors, no anomalous dispersion.

Structural model:
Cell lengths 10.4566, 9.2156, 7.8528 Å; angles 90.00, 108.80, 90.00 degrees
Space group C2/c (No. 15)
Symmetry-distinct sites (fractional):
Tl: 0.0000 0.1771 0.2500 (multiplicity 4)
Pd: 0.1325 0.4982 0.5656 (multiplicity 8)
F: 0.1257 0.2893 0.5049 (multiplicity 8)
F: 0.1370 0.4422 0.8183 (multiplicity 8)
F: 0.1447 0.2936 0.1363 (multiplicity 8)
F: 0.1474 0.0062 0.3378 (multiplicity 8)

Most intense lines, 10° ≤ 2θ ≤ 90°, low angle first:
2θ 15.68, d = 5.651 Å, I 100, (1 1 -1); 2θ 19.62, d = 4.525 Å, I 53, (1 1 1); 2θ 22.70, d = 3.916 Å, I 34, (0 2 1); 2θ 24.68, d = 3.607 Å, I 99, (1 1 -2); 2θ 26.48, d = 3.367 Å, I 37, (2 2 -1); 2θ 28.74, d = 3.106 Å, I 48, (3 1 0); 2θ 30.47, d = 2.934 Å, I 47, (1 3 0); 2θ 34.53, d = 2.598 Å, I 31, (2 0 2); 2θ 41.41, d = 2.181 Å, I 33, (4 2 0); 2θ 46.33, d = 1.960 Å, I 28, (2 0 -4)

---

Structure and simulated XRD peak list of Tl2PdF4 (a PBE-relaxed structure; CuKα).
Neutral-atom scattering factors, no anomalous dispersion.

Structural model:
Cell lengths 6.3693, 6.3693, 3.7801 Å; angles 90.00, 90.00, 90.00 degrees
Space group P4/mmm (No. 123)
Symmetry-distinct sites (fractional):
Tl: 0.0000 0.5000 0.0000 (multiplicity 2)
Pd: 0.0000 0.0000 0.5000 (multiplicity 1)
F: 0.2224 0.2224 0.5000 (multiplicity 4)

Most intense lines, 10° ≤ 2θ ≤ 90°, low angle first:
2θ 13.90, d = 6.369 Å, I 20, (1 0 0); 2θ 19.71, d = 4.504 Å, I 47, (1 1 0); 2θ 28.02, d = 3.185 Å, I 46, (2 0 0); 2θ 30.88, d = 2.895 Å, I 100, (1 1 1); 2θ 36.91, d = 2.436 Å, I 32, (2 0 1); 2θ 40.04, d = 2.252 Å, I 32, (2 2 0); 2θ 51.40, d = 1.778 Å, I 47, (3 1 1); 2θ 56.63, d = 1.625 Å, I 14, (2 0 2); 2θ 64.35, d = 1.448 Å, I 15, (2 2 2); 2θ 81.08, d = 1.186 Å, I 13, (5 1 1)

---

Structure and simulated XRD peak list of Tl4Pd3F12 (a PBE-relaxed structure; CuKα).
Neutral-atom scattering factors, no anomalous dispersion.

Structural model:
Cell lengths 9.2651, 9.2651, 9.2651 Å; angles 90.00, 90.00, 90.00 degrees
Space group Im-3 (No. 204)
Symmetry-distinct sites (fractional):
Tl: 0.2500 0.2500 0.2500 (multiplicity 8)
Pd: 0.0000 0.0000 0.5000 (multiplicity 6)
F: 0.0000 0.3480 0.1511 (multiplicity 24)

Most intense lines, 10° ≤ 2θ ≤ 90°, low angle first:
2θ 13.52, d = 6.551 Å, I 9, (1 1 0); 2θ 19.16, d = 4.633 Å, I 19, (2 0 0); 2θ 27.22, d = 3.276 Å, I 100, (2 2 0); 2θ 38.88, d = 2.316 Å, I 20, (4 0 0); 2θ 43.69, d = 2.072 Å, I 14, (4 2 0); 2θ 48.11, d = 1.891 Å, I 50, (4 2 2); 2θ 56.16, d = 1.638 Å, I 13, (4 4 0); 2θ 63.50, d = 1.465 Å, I 21, (6 0 2); 2θ 77.02, d = 1.238 Å, I 22, (6 2 4); 2θ 89.83, d = 1.092 Å, I 13, (6 6 0)

---

Structure and simulated XRD peak list of TlZnPdF6 (a PBE-relaxed structure; CuKα).
Neutral-atom scattering factors, no anomalous dispersion.

Structural model:
Cell lengths 7.2483, 8.1171, 10.4069 Å; angles 90.00, 90.00, 90.00 degrees
Space group Imma (No. 74)
Symmetry-distinct sites (fractional):
Tl: 0.0000 0.2500 0.0915 (multiplicity 4)
Zn: 0.2500 0.2500 0.7500 (multiplicity 4)
Pd: 0.0000 0.0000 0.5000 (multiplicity 4)
F: 0.0000 0.2500 0.4332 (multiplicity 4)
F: 0.0000 0.2500 0.8269 (multiplicity 4)
F: 0.2020 0.0565 0.6223 (multiplicity 16)

Most intense lines, 10° ≤ 2θ ≤ 90°, low angle first:
2θ 23.73, d = 3.749 Å, I 41, (1 1 2); 2θ 24.56, d = 3.624 Å, I 17, (2 0 0); 2θ 26.59, d = 3.352 Å, I 100, (1 2 1); 2θ 27.96, d = 3.191 Å, I 46, (0 1 3); 2θ 28.30, d = 3.154 Å, I 38, (2 1 1); 2θ 30.05, d = 2.974 Å, I 32, (2 0 2); 2θ 42.37, d = 2.133 Å, I 21, (0 3 3); 2θ 44.50, d = 2.036 Å, I 18, (3 2 1); 2θ 48.57, d = 1.875 Å, I 33, (2 2 4); 2θ 58.56, d = 1.576 Å, I 20, (3 0 5)

---

Structure and simulated XRD peak list of Zn2PdF6 (a PBE-relaxed structure; CuKα).
Neutral-atom scattering factors, no anomalous dispersion.

Structural model:
Cell lengths 5.3546, 5.3546, 4.6643 Å; angles 90.00, 90.00, 120.00 degrees
Space group P-31m (No. 162)
Symmetry-distinct sites (fractional):
Zn: 0.3333 0.6667 0.0000 (multiplicity 2)
Pd: 0.0000 0.0000 0.5000 (multiplicity 1)
F: 0.0000 0.3462 0.2337 (multiplicity 6)

Most intense lines, 10° ≤ 2θ ≤ 90°, low angle first:
2θ 27.12, d = 3.289 Å, I 100, (1 0 1); 2θ 33.47, d = 2.677 Å, I 32, (1 1 0); 2θ 38.79, d = 2.322 Å, I 14, (2 -1 1); 2θ 43.59, d = 2.076 Å, I 27, (2 0 1); 2θ 52.00, d = 1.759 Å, I 45, (2 -1 2); 2θ 56.05, d = 1.641 Å, I 25, (3 -1 1); 2θ 59.83, d = 1.546 Å, I 19, (3 0 0); 2θ 63.06, d = 1.474 Å, I 9, (1 0 3); 2θ 76.89, d = 1.240 Å, I 10, (3 1 1); 2θ 83.21, d = 1.161 Å, I 10, (2 2 2)

---

Please write out number 2 again, unchanged.
Structure and simulated XRD peak list of SrZnPd2F8 (a PBE-relaxed structure; CuKα).
Neutral-atom scattering factors, no anomalous dispersion.

Structural model:
Cell lengths 6.3870, 6.3870, 6.6182 Å; angles 90.00, 90.00, 120.00 degrees
Space group P-3m1 (No. 164)
Symmetry-distinct sites (fractional):
Sr: 0.0000 0.0000 0.0000 (multiplicity 1)
Zn: 0.0000 0.0000 0.5000 (multiplicity 1)
Pd: 0.3333 0.6667 0.2539 (multiplicity 2)
F: 0.1400 0.2800 0.2971 (multiplicity 6)
F: 0.3333 0.6667 0.9460 (multiplicity 2)

Most intense lines, 10° ≤ 2θ ≤ 90°, low angle first:
2θ 20.93, d = 4.244 Å, I 100, (1 0 1); 2θ 27.94, d = 3.194 Å, I 92, (1 1 0); 2θ 31.50, d = 2.840 Å, I 44, (1 0 2); 2θ 42.60, d = 2.122 Å, I 34, (2 0 2); 2θ 44.20, d = 2.049 Å, I 18, (1 0 3); 2θ 45.50, d = 1.994 Å, I 32, (1 2 1); 2θ 49.43, d = 1.844 Å, I 17, (3 0 0); 2θ 51.72, d = 1.767 Å, I 33, (2 1 2); 2θ 57.74, d = 1.597 Å, I 18, (2 2 0); 2θ 63.30, d = 1.469 Å, I 16, (1 1 4)